# 1
# BeTeMoI2
Simulated PXRD pattern, Cu Kα. Input: a crystal structure in Alexandria, relaxed with GGA-PBE.
Lines closer than 0.1° are merged.

Peak list (12 most intense, 10 to 90 degrees two-theta, sorted by position)
2θ/deg, I/Imax
15.57, 100.0
16.94, 42.8
27.97, 84.9
31.44, 89.8
34.27, 35.5
35.27, 26.7
35.93, 26.0
37.84, 22.0
45.06, 32.5
47.19, 56.7
53.88, 26.9
57.81, 30.7

Cell and atoms:
```
data_BeTeMoI2
_cell_length_a 5.691
_cell_length_b 5.691
_cell_length_c 5.233
_cell_angle_alpha 90.00
_cell_angle_beta 90.00
_cell_angle_gamma 90.00
_space_group_name_H-M_alt 'P 1'
_space_group_IT_number 1
_space_group_name_Hall 'P 1'
loop_
_atom_site_label
_atom_site_type_symbol
_atom_site_fract_x
_atom_site_fract_y
_atom_site_fract_z
Be1 Be 0.000 0.000 0.000
Te1 Te 0.500 0.500 0.000
Mo1 Mo 0.500 0.500 0.500
I1 I 0.000 0.500 0.500
I2 I 0.500 0.000 0.500
```

# 2
# BeIN2
Simulated PXRD pattern, Cu Kα. Input: a crystal structure in Alexandria, relaxed with GGA-PBE.
Lines closer than 0.1° are merged.

Peak list (12 most intense, 10 to 90 degrees two-theta, sorted by position)
2θ/deg, I/Imax
13.53, 100.0
23.03, 20.9
25.87, 21.3
26.80, 81.1
27.25, 29.1
29.31, 65.3
34.91, 39.4
35.97, 25.7
37.60, 32.1
44.84, 34.5
55.22, 29.8
56.41, 18.6

Cell and atoms:
```
data_BeIN2
_cell_length_a 3.443
_cell_length_b 3.862
_cell_length_c 6.545
_cell_angle_alpha 90.00
_cell_angle_beta 90.00
_cell_angle_gamma 90.00
_space_group_name_H-M_alt 'P 1'
_space_group_IT_number 1
_space_group_name_Hall 'P 1'
loop_
_atom_site_label
_atom_site_type_symbol
_atom_site_fract_x
_atom_site_fract_y
_atom_site_fract_z
Be1 Be 0.000 0.000 0.000
I1 I 0.000 0.500 0.780
N1 N 0.500 0.000 0.127
N2 N 0.500 0.000 0.310
```

# 3
# BeSeIN2
Simulated PXRD pattern, Cu Kα. Input: a crystal structure in Alexandria, relaxed with GGA-PBE.
Lines closer than 0.1° are merged.

Peak list (12 most intense, 10 to 90 degrees two-theta, sorted by position)
2θ/deg, I/Imax
23.70, 100.0
33.77, 65.3
35.91, 6.2
41.68, 22.0
48.56, 11.2
54.60, 11.4
54.72, 26.8
60.42, 24.3
71.00, 6.9
76.08, 14.2
81.09, 7.0
85.96, 6.0

Cell and atoms:
```
data_BeSeIN2
_cell_length_a 3.750
_cell_length_b 3.750
_cell_length_c 7.521
_cell_angle_alpha 90.00
_cell_angle_beta 90.00
_cell_angle_gamma 90.00
_space_group_name_H-M_alt 'P 1'
_space_group_IT_number 1
_space_group_name_Hall 'P 1'
loop_
_atom_site_label
_atom_site_type_symbol
_atom_site_fract_x
_atom_site_fract_y
_atom_site_fract_z
Be1 Be 0.000 0.000 0.000
Se1 Se 0.500 0.500 0.500
I1 I 0.500 0.500 0.000
N1 N 0.000 0.500 0.500
N2 N 0.500 0.000 0.500
```

# 4
# TaBeIN2
Simulated PXRD pattern, Cu Kα. Input: a crystal structure in Alexandria, relaxed with GGA-PBE.
Lines closer than 0.1° are merged.

Peak list (12 most intense, 10 to 90 degrees two-theta, sorted by position)
2θ/deg, I/Imax
22.28, 100.0
30.27, 30.3
31.72, 37.1
37.91, 51.1
44.42, 30.0
45.47, 19.2
51.20, 21.6
55.60, 20.9
60.64, 26.0
67.68, 9.4
83.29, 10.4
85.35, 10.2

Cell and atoms:
```
data_TaBeIN2
_cell_length_a 3.990
_cell_length_b 3.990
_cell_length_c 5.905
_cell_angle_alpha 90.00
_cell_angle_beta 90.00
_cell_angle_gamma 90.00
_space_group_name_H-M_alt 'P 1'
_space_group_IT_number 1
_space_group_name_Hall 'P 1'
loop_
_atom_site_label
_atom_site_type_symbol
_atom_site_fract_x
_atom_site_fract_y
_atom_site_fract_z
Ta1 Ta 0.000 0.000 0.000
Be1 Be 0.500 0.500 0.500
I1 I 0.000 0.000 0.500
N1 N 0.000 0.500 0.000
N2 N 0.500 0.000 0.000
```

# 5
# Na2BeI4
Simulated PXRD pattern, Cu Kα. Input: a crystal structure in Alexandria, relaxed with GGA-PBE.
Lines closer than 0.1° are merged.

Peak list (12 most intense, 10 to 90 degrees two-theta, sorted by position)
2θ/deg, I/Imax
14.70, 33.8
23.19, 27.4
24.56, 100.0
27.57, 64.5
36.32, 17.0
38.15, 13.4
43.54, 12.8
44.03, 15.6
45.13, 20.5
49.90, 21.2
54.12, 15.4
56.91, 14.1

Cell and atoms:
```
data_Na2BeI4
_cell_length_a 7.671
_cell_length_b 7.671
_cell_length_c 9.745
_cell_angle_alpha 90.00
_cell_angle_beta 90.00
_cell_angle_gamma 90.00
_space_group_name_H-M_alt 'P 1'
_space_group_IT_number 1
_space_group_name_Hall 'P 1'
loop_
_atom_site_label
_atom_site_type_symbol
_atom_site_fract_x
_atom_site_fract_y
_atom_site_fract_z
Na1 Na 0.000 0.500 0.000
Na2 Na 0.000 0.500 0.500
Na3 Na 0.500 0.000 0.000
Na4 Na 0.500 0.000 0.500
Be1 Be 0.000 0.000 0.000
Be2 Be 0.500 0.500 0.500
I1 I 0.185 0.185 0.857
I2 I 0.185 0.815 0.143
I3 I 0.315 0.315 0.357
I4 I 0.315 0.685 0.643
I5 I 0.685 0.315 0.643
I6 I 0.685 0.685 0.357
I7 I 0.815 0.185 0.143
I8 I 0.815 0.815 0.857
```

# 6
# Na2BeZnI
Simulated PXRD pattern, Cu Kα. Input: a crystal structure in Alexandria, relaxed with GGA-PBE.
Lines closer than 0.1° are merged.

Peak list (12 most intense, 10 to 90 degrees two-theta, sorted by position)
2θ/deg, I/Imax
15.58, 100.0
22.11, 29.6
27.01, 18.2
30.94, 16.9
31.47, 32.2
34.82, 27.9
35.30, 26.9
38.36, 13.9
44.71, 23.7
45.10, 11.6
47.63, 22.7
55.70, 12.0

Cell and atoms:
```
data_Na2BeZnI
_cell_length_a 5.686
_cell_length_b 5.686
_cell_length_c 5.780
_cell_angle_alpha 90.00
_cell_angle_beta 90.00
_cell_angle_gamma 90.00
_space_group_name_H-M_alt 'P 1'
_space_group_IT_number 1
_space_group_name_Hall 'P 1'
loop_
_atom_site_label
_atom_site_type_symbol
_atom_site_fract_x
_atom_site_fract_y
_atom_site_fract_z
Na1 Na 0.000 0.500 0.000
Na2 Na 0.500 0.000 0.000
Be1 Be 0.000 0.000 0.500
Zn1 Zn 0.500 0.500 0.000
I1 I 0.500 0.500 0.500
```

# 7
# BeNi2PbI
Simulated PXRD pattern, Cu Kα. Input: a crystal structure in Alexandria, relaxed with GGA-PBE.
Lines closer than 0.1° are merged.

Peak list (12 most intense, 10 to 90 degrees two-theta, sorted by position)
2θ/deg, I/Imax
17.31, 21.5
28.68, 15.3
33.70, 100.0
35.04, 23.7
41.01, 30.6
44.83, 8.4
45.89, 8.9
55.02, 25.6
59.40, 10.1
62.00, 16.9
70.06, 23.5
70.86, 11.9

Cell and atoms:
```
data_BeNi2PbI
_cell_length_a 4.401
_cell_length_b 4.401
_cell_length_c 5.122
_cell_angle_alpha 90.00
_cell_angle_beta 90.00
_cell_angle_gamma 90.00
_space_group_name_H-M_alt 'P 1'
_space_group_IT_number 1
_space_group_name_Hall 'P 1'
loop_
_atom_site_label
_atom_site_type_symbol
_atom_site_fract_x
_atom_site_fract_y
_atom_site_fract_z
Be1 Be 0.000 0.000 0.000
Ni1 Ni 0.000 0.500 0.000
Ni2 Ni 0.500 0.000 0.000
Pb1 Pb 0.500 0.500 0.500
I1 I 0.000 0.000 0.500
```

# 8
# BeTlPI2
Simulated PXRD pattern, Cu Kα. Input: a crystal structure in Alexandria, relaxed with GGA-PBE.
Lines closer than 0.1° are merged.

Peak list (12 most intense, 10 to 90 degrees two-theta, sorted by position)
2θ/deg, I/Imax
15.99, 49.6
22.12, 23.3
27.41, 100.0
30.63, 24.7
32.30, 43.0
34.74, 14.9
36.24, 13.3
45.11, 33.7
46.33, 15.6
52.51, 16.7
54.67, 29.6
56.57, 17.2

Cell and atoms:
```
data_BeTlPI2
_cell_length_a 5.543
_cell_length_b 5.543
_cell_length_c 5.837
_cell_angle_alpha 90.00
_cell_angle_beta 90.00
_cell_angle_gamma 90.00
_space_group_name_H-M_alt 'P 1'
_space_group_IT_number 1
_space_group_name_Hall 'P 1'
loop_
_atom_site_label
_atom_site_type_symbol
_atom_site_fract_x
_atom_site_fract_y
_atom_site_fract_z
Be1 Be 0.000 0.000 0.000
Tl1 Tl 0.500 0.500 0.000
P1 P 0.500 0.500 0.500
I1 I 0.000 0.500 0.500
I2 I 0.500 0.000 0.500
```

# 9
# PaBeI
Simulated PXRD pattern, Cu Kα. Input: a crystal structure in Alexandria, relaxed with GGA-PBE.
Lines closer than 0.1° are merged.

Peak list (12 most intense, 10 to 90 degrees two-theta, sorted by position)
2θ/deg, I/Imax
17.55, 25.7
22.39, 32.2
25.67, 43.2
29.41, 100.0
31.27, 26.9
32.62, 64.4
35.02, 74.0
35.57, 27.1
38.29, 53.3
44.77, 25.5
54.47, 41.5
60.46, 31.9

Cell and atoms:
```
data_PaBeI
_cell_length_a 4.050
_cell_length_b 20.210
_cell_length_c 3.799
_cell_angle_alpha 90.00
_cell_angle_beta 90.00
_cell_angle_gamma 90.00
_space_group_name_H-M_alt 'P 1'
_space_group_IT_number 1
_space_group_name_Hall 'P 1'
loop_
_atom_site_label
_atom_site_type_symbol
_atom_site_fract_x
_atom_site_fract_y
_atom_site_fract_z
Pa1 Pa 0.000 0.070 0.250
Pa2 Pa 0.000 0.930 0.750
Pa3 Pa 0.500 0.430 0.750
Pa4 Pa 0.500 0.570 0.250
Be1 Be 0.000 0.480 0.250
Be2 Be 0.000 0.520 0.750
Be3 Be 0.500 0.020 0.750
Be4 Be 0.500 0.980 0.250
I1 I 0.000 0.341 0.250
I2 I 0.000 0.659 0.750
I3 I 0.500 0.159 0.750
I4 I 0.500 0.841 0.250
```

# 10
# Be2PbI2
Simulated PXRD pattern, Cu Kα. Input: a crystal structure in Alexandria, relaxed with GGA-PBE.
Lines closer than 0.1° are merged.

Peak list (12 most intense, 10 to 90 degrees two-theta, sorted by position)
2θ/deg, I/Imax
18.96, 64.8
29.82, 63.9
31.88, 100.0
35.57, 28.6
39.06, 13.3
42.67, 24.0
49.90, 13.3
54.24, 44.6
58.06, 17.7
66.63, 11.7
70.23, 11.1
86.85, 12.4

Cell and atoms:
```
data_Be2PbI2
_cell_length_a 5.993
_cell_length_b 5.993
_cell_length_c 7.495
_cell_angle_alpha 90.00
_cell_angle_beta 90.00
_cell_angle_gamma 90.00
_space_group_name_H-M_alt 'P 1'
_space_group_IT_number 1
_space_group_name_Hall 'P 1'
loop_
_atom_site_label
_atom_site_type_symbol
_atom_site_fract_x
_atom_site_fract_y
_atom_site_fract_z
Be1 Be 0.000 0.000 0.147
Be2 Be 0.000 0.000 0.853
Be3 Be 0.500 0.500 0.353
Be4 Be 0.500 0.500 0.647
Pb1 Pb 0.000 0.000 0.500
Pb2 Pb 0.500 0.500 0.000
I1 I 0.000 0.500 0.250
I2 I 0.000 0.500 0.750
I3 I 0.500 0.000 0.250
I4 I 0.500 0.000 0.750
```

# 11
# PmBeI
Simulated PXRD pattern, Cu Kα. Input: a crystal structure in Alexandria, relaxed with GGA-PBE.
Lines closer than 0.1° are merged.

Peak list (12 most intense, 10 to 90 degrees two-theta, sorted by position)
2θ/deg, I/Imax
14.54, 52.3
25.13, 91.2
26.87, 59.2
29.32, 21.7
30.38, 100.0
35.19, 28.6
37.00, 91.0
44.05, 63.2
53.80, 23.9
58.84, 25.6
64.50, 34.3
76.35, 21.9

Cell and atoms:
```
data_PmBeI
_cell_length_a 12.415
_cell_length_b 12.415
_cell_length_c 12.415
_cell_angle_alpha 19.06
_cell_angle_beta 19.06
_cell_angle_gamma 19.06
_space_group_name_H-M_alt 'P 1'
_space_group_IT_number 1
_space_group_name_Hall 'P 1'
loop_
_atom_site_label
_atom_site_type_symbol
_atom_site_fract_x
_atom_site_fract_y
_atom_site_fract_z
Pm1 Pm 0.051 0.051 0.051
Pm2 Pm 0.949 0.949 0.949
Be1 Be 0.334 0.334 0.334
Be2 Be 0.666 0.666 0.666
I1 I 0.223 0.223 0.223
I2 I 0.777 0.777 0.777
```

# 12
# Pr7BeI12
Simulated PXRD pattern, Cu Kα. Input: a crystal structure in Alexandria, relaxed with GGA-PBE.
Lines closer than 0.1° are merged.

Peak list (12 most intense, 10 to 90 degrees two-theta, sorted by position)
2θ/deg, I/Imax
16.27, 15.9
18.61, 13.0
22.60, 18.5
31.56, 100.0
32.77, 91.2
46.13, 34.5
55.41, 19.6
57.74, 34.0
58.50, 15.8
65.89, 11.6
75.56, 14.8
77.55, 13.4

Cell and atoms:
```
data_Pr7BeI12
_cell_length_a 11.620
_cell_length_b 11.620
_cell_length_c 11.620
_cell_angle_alpha 115.98
_cell_angle_beta 115.98
_cell_angle_gamma 115.98
_space_group_name_H-M_alt 'P 1'
_space_group_IT_number 1
_space_group_name_Hall 'P 1'
loop_
_atom_site_label
_atom_site_type_symbol
_atom_site_fract_x
_atom_site_fract_y
_atom_site_fract_z
Pr1 Pr 0.000 0.000 0.000
Pr2 Pr 0.168 0.471 0.394
Pr3 Pr 0.394 0.168 0.471
Pr4 Pr 0.471 0.394 0.168
Pr5 Pr 0.529 0.606 0.832
Pr6 Pr 0.606 0.832 0.529
Pr7 Pr 0.832 0.529 0.606
Be1 Be 0.500 0.500 0.500
I1 I 0.037 0.116 0.337
I2 I 0.116 0.337 0.037
I3 I 0.204 0.584 0.728
I4 I 0.272 0.796 0.416
I5 I 0.337 0.037 0.116
I6 I 0.416 0.272 0.796
I7 I 0.584 0.728 0.204
I8 I 0.663 0.963 0.884
I9 I 0.728 0.204 0.584
I10 I 0.796 0.416 0.272
I11 I 0.884 0.663 0.963
I12 I 0.963 0.884 0.663
```

Please write out number 10 again, unchanged.
# Be2PbI2
Simulated PXRD pattern, Cu Kα. Input: a crystal structure in Alexandria, relaxed with GGA-PBE.
Lines closer than 0.1° are merged.

Peak list (12 most intense, 10 to 90 degrees two-theta, sorted by position)
2θ/deg, I/Imax
18.96, 64.8
29.82, 63.9
31.88, 100.0
35.57, 28.6
39.06, 13.3
42.67, 24.0
49.90, 13.3
54.24, 44.6
58.06, 17.7
66.63, 11.7
70.23, 11.1
86.85, 12.4

Cell and atoms:
```
data_Be2PbI2
_cell_length_a 5.993
_cell_length_b 5.993
_cell_length_c 7.495
_cell_angle_alpha 90.00
_cell_angle_beta 90.00
_cell_angle_gamma 90.00
_space_group_name_H-M_alt 'P 1'
_space_group_IT_number 1
_space_group_name_Hall 'P 1'
loop_
_atom_site_label
_atom_site_type_symbol
_atom_site_fract_x
_atom_site_fract_y
_atom_site_fract_z
Be1 Be 0.000 0.000 0.147
Be2 Be 0.000 0.000 0.853
Be3 Be 0.500 0.500 0.353
Be4 Be 0.500 0.500 0.647
Pb1 Pb 0.000 0.000 0.500
Pb2 Pb 0.500 0.500 0.000
I1 I 0.000 0.500 0.250
I2 I 0.000 0.500 0.750
I3 I 0.500 0.000 0.250
I4 I 0.500 0.000 0.750
```